# 1
PdPb2Se2Cl2O6: computed X-ray diffraction stick pattern (Cu Kα (weighted mean of Kα1 and Kα2)), based on a structure optimized by DFT (GGA-PBE).
Intensities are scaled so that the largest is 100.

Principal peaks in the range 5° ≤ 2θ ≤ 70°, by angle:
2θ (°)	intensity
19.61	22
20.88	35
24.94	53
26.13	25
27.46	100
27.67	22
29.65	29
33.52	20
40.76	25
48.16	19

Structure:
```
data_PdPb2Se2Cl2O6
_symmetry_space_group_name_H-M 'P 1 21/c 1'
_symmetry_Int_Tables_number 14
_symmetry_space_group_name_Hall '-P 2ybc'
_cell_length_a 8.5404
_cell_length_b 5.3462
_cell_length_c 13.3091
_cell_angle_alpha 90.00
_cell_angle_beta 124.70
_cell_angle_gamma 90.00
loop_
_atom_site_label
_atom_site_type_symbol
_atom_site_fract_x
_atom_site_fract_y
_atom_site_fract_z
_atom_site_occupancy
Pd1 Pd 0.0000 0.0000 0.0000 1
Pb1 Pb 0.3362 0.0558 0.8048 1
Se1 Se 0.2883 0.0373 0.5231 1
Cl1 Cl 0.0588 0.5712 0.6909 1
O1 O 0.1746 0.2007 0.5800 1
O2 O 0.4310 0.2362 0.0221 1
O3 O 0.4373 0.6217 0.1600 1
```

# 2
SbPbClO2: computed X-ray diffraction stick pattern (Cu Kα (weighted mean of Kα1 and Kα2)), based on a structure optimized by DFT (GGA-PBE).
Intensities are scaled so that the largest is 100.

Principal peaks in the range 5° ≤ 2θ ≤ 70°, by angle:
2θ (°)	intensity
21.45	12
23.60	49
26.44	16
31.10	100
31.53	26
32.53	24
42.94	12
45.93	26
55.88	19
57.14	27

Structure:
```
data_SbPbClO2
_symmetry_space_group_name_H-M 'C m c m'
_symmetry_Int_Tables_number 63
_symmetry_space_group_name_Hall '-C 2c 2'
_cell_length_a 5.6750
_cell_length_b 12.5748
_cell_length_c 5.5058
_cell_angle_alpha 90.00
_cell_angle_beta 90.00
_cell_angle_gamma 90.00
loop_
_atom_site_label
_atom_site_type_symbol
_atom_site_fract_x
_atom_site_fract_y
_atom_site_fract_z
_atom_site_occupancy
Sb1 Sb 0.0000 0.0780 0.2500 1
Pb1 Pb 0.0000 0.3813 0.2500 1
Cl1 Cl 0.0000 0.2530 0.7500 1
O1 O 0.2277 0.0000 0.0000 1
```

# 3
SiPb7Cl2O8: computed X-ray diffraction stick pattern (Cu Kα (weighted mean of Kα1 and Kα2)), based on a structure optimized by DFT (GGA-PBE).
Intensities are scaled so that the largest is 100.

Principal peaks in the range 5° ≤ 2θ ≤ 70°, by angle:
2θ (°)	intensity
15.47	19
22.33	17
24.92	20
29.46	100
31.28	52
39.34	12
44.82	38
51.08	17
54.56	37
56.98	13

Structure:
```
data_SiPb7Cl2O8
_symmetry_space_group_name_H-M 'A m m 2'
_symmetry_Int_Tables_number 38
_symmetry_space_group_name_Hall 'A 2 -2'
_cell_length_a 5.7170
_cell_length_b 5.7180
_cell_length_c 22.9225
_cell_angle_alpha 90.00
_cell_angle_beta 90.00
_cell_angle_gamma 90.00
loop_
_atom_site_label
_atom_site_type_symbol
_atom_site_fract_x
_atom_site_fract_y
_atom_site_fract_z
_atom_site_occupancy
Si1 Si 0.0000 0.0000 0.0000 1
Pb1 Pb 0.0000 0.0000 0.3391 1
Pb2 Pb 0.0000 0.0000 0.5606 1
Pb3 Pb 0.0000 0.0000 0.7343 1
Pb4 Pb 0.5000 0.0000 0.0606 1
Pb5 Pb 0.5000 0.0000 0.2339 1
Pb6 Pb 0.5000 0.0000 0.4539 1
Pb7 Pb 0.5000 0.0000 0.8390 1
Cl1 Cl 0.0000 0.0000 0.1115 1
Cl2 Cl 0.5000 0.0000 0.6159 1
O1 O 0.2154 0.2153 0.9972 1
O2 O 0.2502 0.2495 0.2881 1
```

# 4
TePb3Cl4O3: computed X-ray diffraction stick pattern (Cu Kα (weighted mean of Kα1 and Kα2)), based on a structure optimized by DFT (GGA-PBE).
Intensities are scaled so that the largest is 100.

Principal peaks in the range 5° ≤ 2θ ≤ 70°, by angle:
2θ (°)	intensity
12.89	45
20.11	59
23.32	100
25.94	40
26.16	37
28.93	65
29.83	35
31.43	68
36.51	46
41.86	33

Structure:
```
data_TePb3Cl4O3
_symmetry_space_group_name_H-M 'P n a 21'
_symmetry_Int_Tables_number 33
_symmetry_space_group_name_Hall 'P 2c -2n'
_cell_length_a 7.5750
_cell_length_b 16.3071
_cell_length_c 8.6311
_cell_angle_alpha 90.00
_cell_angle_beta 90.00
_cell_angle_gamma 90.00
loop_
_atom_site_label
_atom_site_type_symbol
_atom_site_fract_x
_atom_site_fract_y
_atom_site_fract_z
_atom_site_occupancy
Te1 Te 0.1542 0.0206 0.0000 1
Pb1 Pb 0.0473 0.8114 0.2926 1
Pb2 Pb 0.0599 0.8164 0.7871 1
Pb3 Pb 0.2075 0.5231 0.0717 1
Cl1 Cl 0.1029 0.3949 0.2966 1
Cl2 Cl 0.1334 0.4013 0.7852 1
Cl3 Cl 0.2456 0.7175 0.5380 1
Cl4 Cl 0.2470 0.7162 0.0415 1
O1 O 0.0116 0.9254 0.9754 1
O2 O 0.0463 0.9186 0.5726 1
O3 O 0.1330 0.0631 0.7959 1
```

# 5
TePb3Cl2O4: computed X-ray diffraction stick pattern (Cu Kα (weighted mean of Kα1 and Kα2)), based on a structure optimized by DFT (GGA-PBE).
Intensities are scaled so that the largest is 100.

Principal peaks in the range 5° ≤ 2θ ≤ 70°, by angle:
2θ (°)	intensity
13.81	15
23.34	46
30.65	100
31.65	23
31.75	23
42.68	24
45.43	26
53.81	14
55.74	19
55.87	18

Structure:
```
data_TePb3Cl2O4
_symmetry_space_group_name_H-M 'A m m 2'
_symmetry_Int_Tables_number 38
_symmetry_space_group_name_Hall 'A 2 -2'
_cell_length_a 5.6370
_cell_length_b 5.6545
_cell_length_c 12.8205
_cell_angle_alpha 90.00
_cell_angle_beta 90.00
_cell_angle_gamma 90.00
loop_
_atom_site_label
_atom_site_type_symbol
_atom_site_fract_x
_atom_site_fract_y
_atom_site_fract_z
_atom_site_occupancy
Te1 Te 0.0000 0.0000 0.0000 1
Pb1 Pb 0.0000 0.0000 0.6780 1
Pb2 Pb 0.5000 0.0000 0.1718 1
Pb3 Pb 0.5000 0.0000 0.4577 1
Cl1 Cl 0.0000 0.0000 0.3220 1
Cl2 Cl 0.5000 0.0000 0.8132 1
O1 O 0.2324 0.2320 0.0640 1
```

# 6
PrClO: computed X-ray diffraction stick pattern (Cu Kα (weighted mean of Kα1 and Kα2)), based on a structure optimized by DFT (GGA-PBE).
Intensities are scaled so that the largest is 100.

Principal peaks in the range 5° ≤ 2θ ≤ 70°, by angle:
2θ (°)	intensity
12.86	36
25.25	91
30.78	73
33.99	100
40.65	26
44.09	38
50.71	24
51.49	28
56.81	44
58.14	17

Structure:
```
data_PrClO
_symmetry_space_group_name_H-M 'P 4/n m m'
_symmetry_Int_Tables_number 129
_cell_length_a 4.1076
_cell_length_b 4.1076
_cell_length_c 6.8812
_cell_angle_alpha 90.00
_cell_angle_beta 90.00
_cell_angle_gamma 90.00
loop_
_symmetry_equiv_pos_as_xyz
'x,y,z'
'-x,-y,-z'
'-y+1/2,x,z'
'y+1/2,-x,-z'
'-x+1/2,-y+1/2,z'
'x+1/2,y+1/2,-z'
'y,-x+1/2,z'
'-y,x+1/2,-z'
'x+1/2,-y,-z'
'-x+1/2,y,z'
'-y,-x,-z'
'y,x,z'
'-x,y+1/2,-z'
'x,-y+1/2,z'
'y+1/2,x+1/2,-z'
'-y+1/2,-x+1/2,z'
loop_
_atom_site_label
_atom_site_type_symbol
_atom_site_fract_x
_atom_site_fract_y
_atom_site_fract_z
_atom_site_occupancy
Pr1 Pr 0.2500 0.2500 0.1737 1
Cl1 Cl 0.2500 0.2500 0.6275 1
O1 O 0.2500 0.7500 0.0000 1
```

# 7
PrSClO4: computed X-ray diffraction stick pattern (Cu Kα (weighted mean of Kα1 and Kα2)), based on a structure optimized by DFT (GGA-PBE).
Intensities are scaled so that the largest is 100.

Principal peaks in the range 5° ≤ 2θ ≤ 70°, by angle:
2θ (°)	intensity
14.31	100
18.00	54
23.81	87
24.56	56
30.57	48
30.81	39
30.92	39
31.32	33
31.47	60
46.01	28

Structure:
```
data_PrSClO4
_symmetry_space_group_name_H-M 'P 1 21/c 1'
_symmetry_Int_Tables_number 14
_symmetry_space_group_name_Hall '-P 2ybc'
_cell_length_a 6.7694
_cell_length_b 8.1462
_cell_length_c 8.6866
_cell_angle_alpha 90.00
_cell_angle_beta 113.92
_cell_angle_gamma 90.00
loop_
_atom_site_label
_atom_site_type_symbol
_atom_site_fract_x
_atom_site_fract_y
_atom_site_fract_z
_atom_site_occupancy
Pr1 Pr 0.1177 0.1920 0.2293 1
S1 S 0.2771 0.5812 0.0679 1
Cl1 Cl 0.2265 0.0368 0.9697 1
O1 O 0.1345 0.6831 0.1222 1
O2 O 0.1738 0.5864 0.8763 1
O3 O 0.2836 0.0930 0.6185 1
O4 O 0.4949 0.6511 0.1291 1
```